Starting from a crystal structure in Alexandria, relaxed with PBE, the powder diffraction line list of TmSc6Tl3 was computed for Cu Kα.

Principal peaks in the range 10 to 90 degrees two-theta, sorted by position:
| 2theta | intensity |
| --- | --- |
| 18.46 | 61 |
| 22.26 | 47 |
| 25.80 | 54 |
| 26.19 | 72 |
| 31.57 | 44 |
| 34.33 | 93 |
| 35.97 | 100 |
| 36.91 | 64 |

Structure:
```
data_TmSc6Tl3
_cell_length_a 10.814
_cell_length_b 12.031
_cell_length_c 7.989
_cell_angle_alpha 90.00
_cell_angle_beta 90.00
_cell_angle_gamma 90.00
_space_group_name_H-M_alt 'C m c 21'
_space_group_IT_number 36
loop_
_space_group_symop_operation_xyz
'x,y,z'
'-x,-y,z+1/2'
'-x,y,z'
'x,-y,z+1/2'
'x+1/2,y+1/2,z'
'-x+1/2,-y+1/2,z+1/2'
'-x+1/2,y+1/2,z'
'x+1/2,-y+1/2,z+1/2'
loop_
_atom_site_label
_atom_site_type_symbol
_atom_site_fract_x
_atom_site_fract_y
_atom_site_fract_z
Tm1 Tm 0.000 0.181 0.000
Sc1 Sc 0.000 0.273 0.593
Sc2 Sc 0.000 0.459 0.189
Sc3 Sc 0.164 0.068 0.670
Sc4 Sc 0.241 0.318 0.819
Tl1 Tl 0.000 0.085 0.362
Tl2 Tl 0.191 0.415 0.468
```